Diffraction record for La2ReSb. The powder diffraction line list is computed, not measured: it uses a crystal structure in Alexandria, relaxed with PBE and a wavelength of 1.5418 Å.
Kinematic intensities with the Lorentz-polarization factor, no thermal factor.

Atomic structure:
```
La2ReSb
1.0
-1.7992 2.5011 6.0326
1.7992 -2.5011 6.0326
1.7992 2.5011 -6.0326
La Re Sb
2 1 1
direct
0.0000 0.0000 0.0000 La
0.7079 0.2079 0.5000 La
0.2226 0.7226 0.5000 Re
0.3954 0.3954 0.0000 Sb
```

Top 10 peaks for 2θ = 10–90°, by angle:
d_spacing, Rel. int.
4.621, 12
3.134, 12
3.016, 19
2.682, 12
2.629, 100
2.501, 27
2.098, 12
1.925, 11
1.467, 17
1.340, 13

***

Diffraction record for La2ReSb. The powder diffraction line list is computed, not measured: it uses a crystal structure in Alexandria, relaxed with PBE and a wavelength of 1.5418 Å.
Kinematic intensities with the Lorentz-polarization factor, no thermal factor.

Atomic structure:
```
La2ReSb
1.0
2.3506 -2.5764 0.0000
2.3506 2.5764 0.0000
0.0000 0.0000 8.8847
La Re Sb
2 1 1
direct
0.0000 0.0000 0.2058 La
0.0000 0.0000 0.7942 La
0.5000 0.5000 0.0000 Re
0.5000 0.5000 0.5000 Sb
```

Top 10 peaks for 2θ = 10–90°, by angle:
d_spacing, Rel. int.
2.736, 100
2.576, 25
2.351, 19
2.253, 14
2.221, 9
1.736, 15
1.682, 7
1.516, 17
1.421, 13
1.368, 7

***

Diffraction record for LaScRe4. The powder diffraction line list is computed, not measured: it uses a crystal structure in Alexandria, relaxed with PBE and a wavelength of 1.5418 Å.
Kinematic intensities with the Lorentz-polarization factor, no thermal factor.

Atomic structure:
```
LaScRe4
1.0
0.0000 3.8389 3.8389
3.8389 0.0000 3.8389
3.8389 3.8389 0.0000
La Sc Re
1 1 4
direct
0.0000 0.0000 0.0000 La
0.2500 0.2500 0.2500 Sc
0.1259 0.6247 0.6247 Re
0.6247 0.1259 0.6247 Re
0.6247 0.6247 0.1259 Re
0.6247 0.6247 0.6247 Re
```

Top 10 peaks for 2θ = 10–90°, by angle:
d_spacing, Rel. int.
4.433, 43
2.715, 10
2.315, 100
2.216, 65
1.919, 18
1.761, 11
1.478, 33
1.357, 31
1.171, 12
1.157, 25

***

Diffraction record for SrLa3Re. The powder diffraction line list is computed, not measured: it uses a crystal structure in Alexandria, relaxed with PBE and a wavelength of 1.5418 Å.
Kinematic intensities with the Lorentz-polarization factor, no thermal factor.

Atomic structure:
```
SrLa3Re
1.0
5.7556 0.0000 0.0000
0.0000 5.7556 0.0000
0.0000 0.0000 5.7556
Sr La Re
1 3 1
direct
0.0000 0.0000 0.0000 Sr
0.0000 0.5000 0.5000 La
0.5000 0.0000 0.5000 La
0.5000 0.5000 0.0000 La
0.5000 0.5000 0.5000 Re
```

Top 10 peaks for 2θ = 10–90°, by angle:
d_spacing, Rel. int.
5.756, 62
4.070, 19
3.323, 42
2.878, 100
2.574, 34
2.035, 74
1.735, 19
1.661, 26
1.287, 33
1.175, 25

***

Diffraction record for LaReTc. The powder diffraction line list is computed, not measured: it uses a crystal structure in Alexandria, relaxed with PBE and a wavelength of 1.5418 Å.
Kinematic intensities with the Lorentz-polarization factor, no thermal factor.

Atomic structure:
```
LaReTc
1.0
-2.6324 3.0003 3.7824
2.6324 -3.0003 3.7824
2.6324 3.0003 -3.7824
La Re Tc
2 2 2
direct
0.3809 0.1309 0.2500 La
0.6191 0.8691 0.7500 La
0.0000 0.0000 0.5000 Re
0.0000 0.5000 0.0000 Re
0.0000 0.5000 0.5000 Tc
0.5000 0.5000 0.0000 Tc
```

Top 10 peaks for 2θ = 10–90°, by angle:
d_spacing, Rel. int.
4.701, 26
3.000, 31
2.734, 38
2.465, 57
2.351, 57
2.325, 47
2.297, 100
2.161, 39
1.558, 30
1.367, 42

***

Diffraction record for La2TiRe4. The powder diffraction line list is computed, not measured: it uses a crystal structure in Alexandria, relaxed with PBE and a wavelength of 1.5418 Å.
Kinematic intensities with the Lorentz-polarization factor, no thermal factor.

Atomic structure:
```
La2TiRe4
1.0
-2.3540 2.3540 7.3411
2.3540 -2.3540 7.3411
2.3540 2.3540 -7.3411
La Ti Re
2 1 4
direct
0.1410 0.1410 0.0000 La
0.8590 0.8590 0.0000 La
0.5000 0.5000 0.0000 Ti
0.0000 0.5000 0.5000 Re
0.3417 0.3417 0.0000 Re
0.5000 0.0000 0.5000 Re
0.6583 0.6583 0.0000 Re
```

Top 10 peaks for 2θ = 10–90°, by angle:
d_spacing, Rel. int.
7.341, 24
3.329, 17
3.032, 72
2.466, 100
2.447, 31
2.354, 73
1.696, 41
1.665, 25
1.380, 33
1.376, 20

***

Diffraction record for La4TlRe. The powder diffraction line list is computed, not measured: it uses a crystal structure in Alexandria, relaxed with PBE and a wavelength of 1.5418 Å.
Kinematic intensities with the Lorentz-polarization factor, no thermal factor.

Atomic structure:
```
La4TlRe
1.0
4.5451 -6.9888 0.0000
4.5451 6.9888 0.0000
-2.1236 0.0000 6.0382
La Tl Re
8 2 2
direct
0.0579 0.7217 0.9467 La
0.2021 0.3527 0.6212 La
0.2783 0.9421 0.5533 La
0.3527 0.2021 0.1212 La
0.6473 0.7979 0.8788 La
0.7217 0.0579 0.4467 La
0.7979 0.6473 0.3788 La
0.9421 0.2783 0.0533 La
0.3776 0.6224 0.2500 Tl
0.6224 0.3776 0.7500 Tl
0.0011 0.9989 0.2500 Re
0.9989 0.0011 0.7500 Re
```

Top 10 peaks for 2θ = 10–90°, by angle:
d_spacing, Rel. int.
6.989, 48
3.164, 35
3.119, 37
2.930, 69
2.796, 100
2.658, 50
2.638, 64
2.520, 31
2.436, 38
2.048, 42

***

Diffraction record for LaTmRe. The powder diffraction line list is computed, not measured: it uses a crystal structure in Alexandria, relaxed with PBE and a wavelength of 1.5418 Å.
Kinematic intensities with the Lorentz-polarization factor, no thermal factor.

Atomic structure:
```
LaTmRe
1.0
3.5292 -6.2485 0.0000
3.5292 6.2485 0.0000
0.0000 0.0000 7.7070
La Tm Re
4 4 4
direct
0.1994 0.8006 0.8868 La
0.3006 0.6994 0.3868 La
0.6994 0.3006 0.6132 La
0.8006 0.1994 0.1132 La
0.2130 0.2870 0.7500 Tm
0.2870 0.2130 0.2500 Tm
0.7130 0.7870 0.7500 Tm
0.7870 0.7130 0.2500 Tm
0.0958 0.9042 0.5354 Re
0.4042 0.5958 0.0354 Re
0.5958 0.4042 0.9646 Re
0.9042 0.0958 0.4646 Re
```

Top 10 peaks for 2θ = 10–90°, by angle:
d_spacing, Rel. int.
6.249, 37
4.805, 98
3.073, 47
2.895, 40
2.854, 57
2.626, 39
2.603, 100
2.403, 48
2.374, 63
2.253, 84

***

Diffraction record for La3Rh. The powder diffraction line list is computed, not measured: it uses a crystal structure in Alexandria, relaxed with PBE and a wavelength of 1.5418 Å.
Kinematic intensities with the Lorentz-polarization factor, no thermal factor.

Atomic structure:
```
La3Rh
1.0
7.3944 0.0000 0.0000
0.0000 10.2395 0.0000
0.0000 0.0000 6.5992
La Rh
12 4
direct
0.0373 0.2500 0.1501 La
0.1692 0.0679 0.6683 La
0.1692 0.4321 0.6683 La
0.3308 0.5679 0.1683 La
0.3308 0.9321 0.1683 La
0.4627 0.7500 0.6501 La
0.5373 0.2500 0.3499 La
0.6692 0.0679 0.8317 La
0.6692 0.4321 0.8317 La
0.8308 0.5679 0.3317 La
0.8308 0.9321 0.3317 La
0.9627 0.7500 0.8499 La
0.1269 0.7500 0.4272 Rh
0.3731 0.2500 0.9272 Rh
0.6269 0.7500 0.0728 Rh
0.8731 0.2500 0.5728 Rh
```

Top 10 peaks for 2θ = 10–90°, by angle:
d_spacing, Rel. int.
3.076, 50
3.032, 90
2.997, 47
2.891, 100
2.805, 68
2.729, 84
2.597, 37
2.508, 45
2.309, 35
1.708, 48

***

Diffraction record for La5Rh2. The powder diffraction line list is computed, not measured: it uses a crystal structure in Alexandria, relaxed with PBE and a wavelength of 1.5418 Å.
Kinematic intensities with the Lorentz-polarization factor, no thermal factor.

Atomic structure:
```
La5Rh2
1.0
8.6849 -3.3282 0.0000
8.6849 3.3282 0.0000
-0.8871 0.0000 7.3519
La Rh
10 4
direct
0.0772 0.9228 0.7500 La
0.1424 0.2860 0.3204 La
0.2860 0.1424 0.8204 La
0.3048 0.5067 0.0821 La
0.4933 0.6952 0.4179 La
0.5067 0.3048 0.5821 La
0.6952 0.4933 0.9179 La
0.7140 0.8576 0.1796 La
0.8576 0.7140 0.6796 La
0.9228 0.0772 0.2500 La
0.0857 0.6938 0.4157 Rh
0.3062 0.9143 0.0843 Rh
0.6938 0.0857 0.9157 Rh
0.9143 0.3062 0.5843 Rh
```

Top 10 peaks for 2θ = 10–90°, by angle:
d_spacing, Rel. int.
3.062, 100
3.032, 54
2.942, 79
2.906, 41
2.817, 50
2.726, 47
2.690, 48
2.645, 36
2.314, 43
1.783, 39

***

Diffraction record for La4Rh5. The powder diffraction line list is computed, not measured: it uses a crystal structure in Alexandria, relaxed with PBE and a wavelength of 1.5418 Å.
Kinematic intensities with the Lorentz-polarization factor, no thermal factor.

Atomic structure:
```
La4Rh5
1.0
-4.9109 4.9109 2.1164
4.9109 -4.9109 2.1164
4.9109 4.9109 -2.1164
La Rh
4 5
direct
0.0000 0.2785 0.2785 La
0.0000 0.7215 0.7215 La
0.2785 0.0000 0.2785 La
0.7215 0.0000 0.7215 La
0.0000 0.0000 0.0000 Rh
0.3392 0.3392 0.6784 Rh
0.3392 0.6608 0.0000 Rh
0.6608 0.3392 0.0000 Rh
0.6608 0.6608 0.3216 Rh
```

Top 10 peaks for 2θ = 10–90°, by angle:
d_spacing, Rel. int.
6.945, 11
3.472, 13
2.590, 100
2.315, 26
2.116, 18
2.076, 19
1.562, 15
1.384, 9
1.295, 17
1.171, 11

***

Diffraction record for La3Rh. The powder diffraction line list is computed, not measured: it uses a crystal structure in Alexandria, relaxed with PBE and a wavelength of 1.5418 Å.
Kinematic intensities with the Lorentz-polarization factor, no thermal factor.

Atomic structure:
```
La3Rh
1.0
12.1442 0.0000 0.0000
0.0000 12.1442 0.0000
0.0000 0.0000 6.6013
La Rh
24 8
direct
0.0382 0.5951 0.1926 La
0.0951 0.9618 0.6926 La
0.1166 0.6730 0.6959 La
0.1241 0.1837 0.0151 La
0.1730 0.8834 0.1959 La
0.1837 0.3759 0.4849 La
0.3163 0.1241 0.4849 La
0.3270 0.6166 0.1959 La
0.3759 0.3163 0.0151 La
0.3834 0.8270 0.6959 La
0.4049 0.5382 0.6926 La
0.4618 0.9049 0.1926 La
0.5382 0.0951 0.8074 La
0.5951 0.4618 0.3074 La
0.6166 0.1730 0.3041 La
0.6241 0.6837 0.9849 La
0.6730 0.3834 0.8041 La
0.6837 0.8759 0.5151 La
0.8163 0.6241 0.5151 La
0.8270 0.1166 0.8041 La
0.8759 0.8163 0.9849 La
0.8834 0.3270 0.3041 La
0.9049 0.0382 0.3074 La
0.9618 0.4049 0.8074 La
0.0695 0.1731 0.4965 Rh
0.1731 0.4305 0.0035 Rh
0.3269 0.0695 0.0035 Rh
0.4305 0.3269 0.4965 Rh
0.5695 0.6731 0.5035 Rh
0.6731 0.9305 0.9965 Rh
0.8269 0.5695 0.9965 Rh
0.9305 0.8269 0.5035 Rh
```

Top 10 peaks for 2θ = 10–90°, by angle:
d_spacing, Rel. int.
3.185, 23
3.081, 86
3.036, 42
3.000, 74
2.716, 100
2.690, 58
2.626, 31
2.503, 96
1.762, 42
1.710, 24